For Li5Fe2Ir2O10, a structure optimized by DFT (GGA+U) gives the theoretical powder diffractogram in this record (Cu Kα, 1.54184 Å).
Kinematic intensities with the Lorentz-polarization factor, no thermal factor.

The 10 most intense peaks (2θ from 10° to 80°), sorted by position:
- hkl 0 0 1, 18.1°, d = 4.893 Å, intensity 100
- hkl 1 1 0, 19.2°, d = 4.634 Å, intensity 48
- hkl 1 1 -1, 22.0°, d = 4.046 Å, intensity 34
- hkl 0 4 1, 29.7°, d = 3.008 Å, intensity 16
- hkl 1 5 0, 34.7°, d = 2.584 Å, intensity 34
- hkl 2 0 -1, 35.5°, d = 2.529 Å, intensity 16
- hkl 1 5 -1, 36.4°, d = 2.467 Å, intensity 17
- hkl 1 5 1, 42.3°, d = 2.138 Å, intensity 40
- hkl 2 0 -2, 43.1°, d = 2.098 Å, intensity 19
- hkl 1 5 -3, 61.8°, d = 1.500 Å, intensity 20

Crystal structure
```
data_Li5Fe2Ir2O10
_cell_length_a 5.142
_cell_length_b 15.252
_cell_length_c 5.172
_cell_angle_alpha 90.00
_cell_angle_beta 108.90
_cell_angle_gamma 90.00
_space_group_name_H-M_alt 'C 1 2 1'
_space_group_IT_number 5
loop_
_space_group_symop_operation_xyz
'x,y,z'
'-x,y,-z'
'x+1/2,y+1/2,z'
'-x+1/2,y+1/2,-z'
loop_
_atom_site_label
_atom_site_fract_x
_atom_site_fract_y
_atom_site_fract_z
Li1 0.000 0.000 0.000
Li2 0.000 0.107 0.500
Li3 0.000 0.215 0.000
Li4 0.000 0.597 0.000
Li5 0.000 0.807 0.000
Fe1 0.000 0.305 0.500
Fe2 0.000 0.907 0.500
Ir1 0.000 0.503 0.500
Ir2 0.000 0.704 0.500
O1 0.219 0.603 0.727
O2 0.235 0.802 0.724
O3 0.246 0.405 0.723
O4 0.247 0.004 0.719
O5 0.248 0.710 0.270
```